For Pm3Pr3Ho2, the GGA-PBE geometry in Alexandria gives the computed X-ray diffraction stick pattern in this record (Cu Ka).
Peak positions follow from Bragg's law for the DFT cell and can differ from measured ones.

Structural model:
```
Pm3Pr3Ho2
1.0
8.3549 -2.9146 0.0000
8.3549 2.9146 0.0000
-2.1967 0.0000 5.6656
Pm Pr Ho
3 3 2
Cartesian
0.0000 0.0000 0.0000
0.9734 0.0000 3.2857
13.5397 0.0000 2.3799
4.3206 0.0000 4.5835
7.2566 0.0000 2.8328
10.1925 0.0000 1.0821
3.7737 0.0000 1.0308
10.7394 0.0000 4.6347
```

Top 10 peaks for 2θ = 15–90°, low angle first:
- 2θ = 29.4°, d = 3.038 Å, rel. 21
- 2θ = 30.7°, d = 2.915 Å, rel. 30
- 2θ = 31.3°, d = 2.858 Å, rel. 100
- 2θ = 33.8°, d = 2.655 Å, rel. 18
- 2θ = 43.0°, d = 2.103 Å, rel. 15
- 2θ = 46.6°, d = 1.947 Å, rel. 8
- 2θ = 53.3°, d = 1.717 Å, rel. 9
- 2θ = 54.9°, d = 1.672 Å, rel. 20
- 2θ = 56.9°, d = 1.619 Å, rel. 9
- 2θ = 76.8°, d = 1.241 Å, rel. 6